(1)
Structure and theoretical powder XRD pattern of Na5GeP3 (DFT lattice parameters and positions (PBE); Cu Kα).

Largest 6 diffraction maxima, sorted by position, 2θ from 5° to 70°:
h k l	2θ/deg	Rel. int.
1 0 0	12.82	79.7
0 2 3	31.67	36.9
2 1 -5	32.42	100.0
1 2 -4	33.59	86.3
1 3 -1	38.23	52.0
0 0 6	41.08	56.8

Atomic structure:
```
data_Na5GeP3
_cell_length_a 8.098
_cell_length_b 7.382
_cell_length_c 15.449
_cell_angle_alpha 90.00
_cell_angle_beta 121.43
_cell_angle_gamma 90.00
_space_group_name_H-M_alt 'P 1 21/c 1'
_space_group_IT_number 14
_space_group_name_Hall '-P 2ybc'
loop_
_atom_site_label
_atom_site_type_symbol
_atom_site_fract_x
_atom_site_fract_y
_atom_site_fract_z
Na1 Na 0.064 0.006 0.242
Na2 Na 0.252 0.534 0.584
Na3 Na 0.333 0.649 0.258
Na4 Na 0.341 0.163 0.919
Na5 Na 0.415 0.019 0.587
Ge1 Ge 0.015 0.143 0.586
P1 P 0.022 0.187 0.433
P2 P 0.262 0.738 0.419
P3 P 0.313 0.236 0.727
```

(2)
Structure and theoretical powder XRD pattern of RbPuAgTe2 (DFT lattice parameters and positions (PBE); Cu Kα).

Largest 6 diffraction maxima, sorted by position, 2θ from 5° to 70°:
h k l	2θ/deg	Rel. int.
0 2 0	10.51	100.0
1 3 1	24.98	65.4
0 2 2	28.52	57.5
2 2 1	32.99	77.2
0 4 2	34.07	50.6
2 4 1	37.99	37.6

Atomic structure:
```
data_RbPuAgTe2
_cell_length_a 6.331
_cell_length_b 16.830
_cell_length_c 6.744
_cell_angle_alpha 90.00
_cell_angle_beta 90.00
_cell_angle_gamma 90.00
_space_group_name_H-M_alt 'C m m e'
_space_group_IT_number 67
_space_group_name_Hall '-C 2a 2'
loop_
_atom_site_label
_atom_site_type_symbol
_atom_site_fract_x
_atom_site_fract_y
_atom_site_fract_z
Rb1 Rb 0.000 0.250 0.234
Pu1 Pu 0.250 0.000 0.500
Ag1 Ag 0.000 0.000 0.000
Te1 Te 0.000 0.125 0.747
```

(3)
Structure and theoretical powder XRD pattern of Mn2Hg2Pd7 (DFT lattice parameters and positions (PBE); Cu Kα).

Largest 6 diffraction maxima, sorted by position, 2θ from 5° to 70°:
h k l	2θ/deg	Rel. int.
0 2 1	29.03	52.2
1 3 0	33.75	47.0
4 0 0	36.53	67.2
2 2 1	36.80	84.9
1 3 1	40.27	77.0
3 3 -1	44.46	100.0

Atomic structure:
```
data_Mn2Hg2Pd7
_cell_length_a 10.115
_cell_length_b 8.275
_cell_length_c 4.727
_cell_angle_alpha 90.00
_cell_angle_beta 103.45
_cell_angle_gamma 90.00
_space_group_name_H-M_alt 'C 1 2/m 1'
_space_group_IT_number 12
_space_group_name_Hall '-C 2y'
loop_
_atom_site_label
_atom_site_type_symbol
_atom_site_fract_x
_atom_site_fract_y
_atom_site_fract_z
Mn1 Mn 0.243 0.000 0.273
Hg1 Hg 0.000 0.298 0.500
Pd1 Pd 0.000 0.500 0.000
Pd2 Pd 0.058 0.000 0.785
Pd3 Pd 0.218 0.321 0.230
```

(4)
Structure and theoretical powder XRD pattern of PuTl3O8 (DFT lattice parameters and positions (PBE); Cu Kα).

Largest 6 diffraction maxima, sorted by position, 2θ from 5° to 70°:
h k l	2θ/deg	Rel. int.
1 1 1	28.59	100.0
2 0 0	33.13	36.1
2 2 0	47.56	49.6
3 1 1	56.44	46.4
2 2 2	59.19	10.3
4 0 0	69.53	7.7

Atomic structure:
```
data_PuTl3O8
_cell_length_a 5.408
_cell_length_b 5.408
_cell_length_c 5.408
_cell_angle_alpha 90.00
_cell_angle_beta 90.00
_cell_angle_gamma 90.00
_space_group_name_H-M_alt 'P m -3 m'
_space_group_IT_number 221
_space_group_name_Hall '-P 4 2 3'
loop_
_atom_site_label
_atom_site_type_symbol
_atom_site_fract_x
_atom_site_fract_y
_atom_site_fract_z
Pu1 Pu 0.000 0.000 0.000
Tl1 Tl 0.000 0.500 0.500
O1 O 0.239 0.239 0.239
```

(5)
Structure and theoretical powder XRD pattern of ThHgTe2 (DFT lattice parameters and positions (PBE); Cu Kα).

Largest 6 diffraction maxima, sorted by position, 2θ from 5° to 70°:
h k l	2θ/deg	Rel. int.
0 1 2	23.54	23.4
0 1 5	27.37	100.0
1 0 7	31.23	25.1
1 0 10	38.26	20.5
1 1 0	39.93	45.9
2 0 5	49.07	25.7

Atomic structure:
```
data_ThHgTe2
_cell_length_a 4.5160
_cell_length_b 4.5160
_cell_length_c 29.4463
_cell_angle_alpha 90.00
_cell_angle_beta 90.00
_cell_angle_gamma 120.00
_space_group_name_H-M_alt 'R 3 m'
_space_group_IT_number 160
_space_group_name_Hall 'R 3 -2"'
loop_
_atom_site_label
_atom_site_type_symbol
_atom_site_fract_x
_atom_site_fract_y
_atom_site_fract_z
Th1 Th 0.0000 0.0000 0.0000
Hg1 Hg 0.0000 0.0000 0.8307
Te1 Te 0.0000 0.0000 0.3933
Te2 Te 0.0000 0.0000 0.6069
```

(6)
Structure and theoretical powder XRD pattern of CrIn2Ir (DFT lattice parameters and positions (PBE); Cu Kα).

Largest 6 diffraction maxima, sorted by position, 2θ from 5° to 70°:
h k l	2θ/deg	Rel. int.
1 1 0	35.30	58.6
1 1 -1	36.34	90.5
1 0 1	36.70	40.4
0 1 2	39.91	100.0
0 2 0	40.86	57.4
1 1 1	42.20	40.4

Atomic structure:
```
data_CrIn2Ir
_cell_length_a 3.190
_cell_length_b 4.417
_cell_length_c 5.393
_cell_angle_alpha 90.00
_cell_angle_beta 102.85
_cell_angle_gamma 90.00
_space_group_name_H-M_alt 'P 1 m 1'
_space_group_IT_number 6
_space_group_name_Hall 'P -2y'
loop_
_atom_site_label
_atom_site_type_symbol
_atom_site_fract_x
_atom_site_fract_y
_atom_site_fract_z
Cr1 Cr 0.000 0.000 0.000
In1 In 0.329 0.000 0.544
In2 In 0.584 0.500 0.192
Ir1 Ir 0.901 0.500 0.735
```

(7)
Structure and theoretical powder XRD pattern of Fe7Co5 (DFT lattice parameters and positions (PBE); Cu Kα).

Largest 6 diffraction maxima, sorted by position, 2θ from 5° to 70°:
h k l	2θ/deg	Rel. int.
0 2 0	11.65	0.7
0 6 1	43.44	100.0
2 0 1	44.09	97.3
0 0 2	49.76	33.2
2 6 0	51.59	58.0
1 7 1	52.35	0.8

Atomic structure:
```
data_Fe7Co5
_cell_length_a 4.960
_cell_length_b 15.192
_cell_length_c 3.665
_cell_angle_alpha 90.00
_cell_angle_beta 90.00
_cell_angle_gamma 90.00
_space_group_name_H-M_alt 'C m m m'
_space_group_IT_number 65
_space_group_name_Hall '-C 2 2'
loop_
_atom_site_label
_atom_site_type_symbol
_atom_site_fract_x
_atom_site_fract_y
_atom_site_fract_z
Fe1 Fe 0.000 0.000 0.000
Fe2 Fe 0.000 0.175 0.000
Fe3 Fe 0.248 0.415 0.500
Co1 Co 0.000 0.336 0.000
Co2 Co 0.000 0.500 0.000
Co3 Co 0.250 0.250 0.500
```